The following is a calculated powder diffractogram of LiCoPt3O6. It was derived from a GGA+U-relaxed structure, using Cu Kα (λ = 1.5418 Å).
Neutral-atom scattering factors, no anomalous dispersion.

Cell and atoms:
```
data_LiCoPt3O6
_cell_length_a 6.244
_cell_length_b 3.161
_cell_length_c 6.749
_cell_angle_alpha 90.00
_cell_angle_beta 104.87
_cell_angle_gamma 90.00
_symmetry_space_group_name_H-M 'P 1 m 1'
_symmetry_Int_Tables_number 6
loop_
_symmetry_equiv_pos_as_xyz
'x,y,z'
'x,-y,z'
loop_
_atom_site_label
_atom_site_fract_x
_atom_site_fract_y
_atom_site_fract_z
_atom_site_occupancy
Li1 0.000 0.000 0.000 1
Co1 0.853 0.000 0.314 1
Pt1 0.307 0.000 0.747 1
Pt2 0.323 0.500 0.262 1
Pt3 0.783 0.500 0.715 1
O1 0.271 0.000 0.440 1
O2 0.325 0.000 0.062 1
O3 0.636 0.000 0.819 1
O4 0.659 0.500 0.359 1
O5 0.964 0.000 0.645 1
O6 0.983 0.500 0.170 1
```

Top 12 peaks for 2θ = 10–80°, sorted by position:
(hkl)  2θ (°)  I_rel
0 0 1  13.57  22
0 0 2  27.34  75
2 0 0  29.61  65
1 1 -1  33.28  100
2 0 -2  34.95  33
1 1 1  36.39  58
2 0 2  45.92  16
1 1 -3  49.95  37
3 1 -1  52.71  32
0 2 0  58.37  17
3 1 1  59.15  17
3 1 -3  61.62  18